For LiMnP3HO10, a GGA+U-relaxed structure gives the theoretical powder X-ray diffraction pattern in this record (Cu Kα).

Crystal structure
```
data_LiMnP3HO10
_space_group_name_H-M_alt 'C 1 2 1'
_space_group_IT_number 5
_space_group_name_Hall 'C 2y'
_cell_length_a 9.310
_cell_length_b 8.501
_cell_length_c 6.532
_cell_angle_alpha 90.00
_cell_angle_beta 115.08
_cell_angle_gamma 90.00
loop_
_atom_site_label
_atom_site_type_symbol
_atom_site_fract_x
_atom_site_fract_y
_atom_site_fract_z
Li1 Li 0.000 0.000 0.000
Mn1 Mn 0.000 0.805 0.500
P1 P 0.000 0.702 0.000
P2 P 0.179 0.513 0.409
H1 H 0.000 0.373 0.500
O1 O 0.064 0.805 0.868
O2 O 0.065 0.377 0.374
O3 O 0.138 0.587 0.158
O4 O 0.146 0.972 0.502
O5 O 0.162 0.646 0.557
```

Main lines, by angle (2θ = 5–70°):
14.80 deg, 5.987 Å, rel. 100, hkl 1 1 0; 14.98 deg, 5.916 Å, rel. 46, hkl 0 0 1; 17.62 deg, 5.033 Å, rel. 11, hkl 1 1 -1; 20.02 deg, 4.435 Å, rel. 9, hkl 2 0 -1; 21.07 deg, 4.216 Å, rel. 7, hkl 2 0 0; 25.81 deg, 3.452 Å, rel. 11, hkl 0 2 1; 29.10 deg, 3.069 Å, rel. 20, hkl 2 2 -1; 29.38 deg, 3.040 Å, rel. 16, hkl 1 1 -2; 29.85 deg, 2.993 Å, rel. 24, hkl 2 2 0; 30.22 deg, 2.958 Å, rel. 13, hkl 0 0 2; 35.68 deg, 2.516 Å, rel. 8, hkl 2 2 -2; 43.80 deg, 2.067 Å, rel. 7, hkl 1 1 -3